Structure and calculated X-ray diffraction stick pattern of Na3VP2O9 (the GGA+U geometry in Alexandria; CuKα).
No peak broadening, texture or thermal motion is included.

Largest 10 diffraction maxima, in order of rising 2θ, 2θ = 15–90°:
2θ (°)	d/Å	I_rel
18.05	4.914	97.9
18.48	4.800	66.6
24.69	3.607	92.8
26.92	3.312	67.9
27.96	3.192	60.1
28.26	3.158	60.3
31.82	2.812	62.7
33.82	2.651	47.1
34.20	2.622	100.0
35.20	2.549	92.0

Crystal structure
```
data_Na3VP2O9
_space_group_name_H-M_alt 'C 1 2/m 1'
_space_group_IT_number 12
_cell_length_a 15.965
_cell_length_b 6.966
_cell_length_c 7.497
_cell_angle_alpha 90.00
_cell_angle_beta 93.40
_cell_angle_gamma 90.00
loop_
_space_group_symop_operation_xyz
'x,y,z'
'-x,-y,-z'
'-x,y,-z'
'x,-y,z'
'x+1/2,y+1/2,z'
'-x+1/2,-y+1/2,-z'
'-x+1/2,y+1/2,-z'
'x+1/2,-y+1/2,z'
loop_
_atom_site_label
_atom_site_fract_x
_atom_site_fract_y
_atom_site_fract_z
Na1 0.000 0.224 0.000
Na2 0.105 0.500 0.691
Na3 0.250 0.250 0.500
V1 0.250 0.250 0.000
P1 0.118 0.500 0.225
P2 0.131 0.000 0.716
O1 0.023 0.500 0.207
O2 0.047 0.000 0.799
O3 0.139 0.000 0.517
O4 0.149 0.319 0.118
O5 0.158 0.500 0.415
O6 0.182 0.187 0.789
O7 0.243 0.000 0.077
```



Structure and calculated X-ray diffraction stick pattern of Na3VP2O9 (the GGA+U geometry in Alexandria; CuKα).
No peak broadening, texture or thermal motion is included.

Largest 10 diffraction maxima, in order of rising 2θ, 2θ = 15–90°:
2θ (°)	d/Å	I_rel
16.73	5.299	39.1
20.11	4.415	24.8
20.23	4.389	24.8
27.60	3.232	41.5
28.95	3.084	31.8
29.27	3.051	34.8
29.90	2.988	100.0
31.47	2.843	42.4
34.40	2.607	41.2
57.00	1.616	26.0

Crystal structure
```
data_Na3VP2O9
_space_group_name_H-M_alt 'P 1 21/m 1'
_space_group_IT_number 11
_cell_length_a 6.314
_cell_length_b 6.464
_cell_length_c 9.772
_cell_angle_alpha 90.00
_cell_angle_beta 108.78
_cell_angle_gamma 90.00
loop_
_space_group_symop_operation_xyz
'x,y,z'
'-x,-y,-z'
'-x,y+1/2,-z'
'x,-y+1/2,z'
loop_
_atom_site_label
_atom_site_fract_x
_atom_site_fract_y
_atom_site_fract_z
Na1 0.222 0.250 0.308
Na2 0.270 0.012 0.663
V1 0.292 0.750 0.079
P1 0.247 0.750 0.405
P2 0.254 0.250 0.998
O1 0.001 0.250 0.912
O2 0.105 0.551 0.379
O3 0.226 0.750 0.901
O4 0.314 0.059 0.099
O5 0.376 0.250 0.884
O6 0.395 0.750 0.296
O7 0.413 0.750 0.561
```



Structure and calculated X-ray diffraction stick pattern of Na2VPO6 (the GGA+U geometry in Alexandria; CuKα).
No peak broadening, texture or thermal motion is included.

Largest 10 diffraction maxima, in order of rising 2θ, 2θ = 15–90°:
2θ (°)	d/Å	I_rel
15.25	5.810	30.5
18.15	4.889	77.0
19.50	4.552	25.2
21.86	4.066	34.5
27.81	3.209	100.0
30.94	2.890	89.9
35.50	2.529	26.0
35.72	2.514	36.3
38.23	2.354	23.3
50.22	1.817	39.5

Crystal structure
```
data_Na2VPO6
_space_group_name_H-M_alt 'P n a 21'
_space_group_IT_number 33
_cell_length_a 11.620
_cell_length_b 4.948
_cell_length_c 9.046
_cell_angle_alpha 90.00
_cell_angle_beta 90.00
_cell_angle_gamma 90.00
loop_
_space_group_symop_operation_xyz
'x,y,z'
'-x,-y,z+1/2'
'-x+1/2,y+1/2,z+1/2'
'x+1/2,-y+1/2,z'
loop_
_atom_site_label
_atom_site_fract_x
_atom_site_fract_y
_atom_site_fract_z
Na1 0.077 0.018 0.000
Na2 0.121 0.536 0.292
V1 0.130 0.452 0.666
P1 0.225 0.069 0.471
O1 0.020 0.660 0.634
O2 0.070 0.231 0.781
O3 0.103 0.215 0.480
O4 0.212 0.729 0.096
O5 0.223 0.763 0.492
O6 0.226 0.641 0.814
```



Structure and calculated X-ray diffraction stick pattern of NaVPO5 (the GGA+U geometry in Alexandria; CuKα).
No peak broadening, texture or thermal motion is included.

Largest 10 diffraction maxima, in order of rising 2θ, 2θ = 15–90°:
2θ (°)	d/Å	I_rel
16.47	5.383	100.0
21.48	4.138	16.5
28.16	3.169	42.5
32.79	2.731	94.1
35.80	2.508	13.6
36.26	2.478	16.1
40.24	2.241	11.4
53.18	1.722	20.7
58.22	1.585	17.0
68.45	1.371	15.2

Crystal structure
```
data_NaVPO5
_space_group_name_H-M_alt 'P 42/n c m'
_space_group_IT_number 138
_cell_length_a 6.338
_cell_length_b 6.338
_cell_length_c 10.767
_cell_angle_alpha 90.00
_cell_angle_beta 90.00
_cell_angle_gamma 90.00
loop_
_space_group_symop_operation_xyz
'x,y,z'
'-x,-y,-z'
'-y+1/2,x,z+1/2'
'y+1/2,-x,-z+1/2'
'-x+1/2,-y+1/2,z'
'x+1/2,y+1/2,-z'
'y,-x+1/2,z+1/2'
'-y,x+1/2,-z+1/2'
'x+1/2,-y,-z+1/2'
'-x+1/2,y,z+1/2'
'-y,-x,-z'
'y,x,z'
'-x,y+1/2,-z+1/2'
'x,-y+1/2,z+1/2'
'y+1/2,x+1/2,-z'
'-y+1/2,-x+1/2,z'
loop_
_atom_site_label
_atom_site_fract_x
_atom_site_fract_y
_atom_site_fract_z
Na1 0.000 0.000 0.000
V1 0.250 0.250 0.223
P1 0.250 0.750 0.250
O1 0.052 0.745 0.335
O2 0.250 0.250 0.375
```